LiPrZn: simulated PXRD pattern (a wavelength of 1.5418 Å), based on DFT lattice parameters and positions (GGA-PBE).
Kinematic intensities with the Lorentz-polarization factor, no thermal factor.

Lattice parameters (Å, degrees): 8.5947 8.5947 8.5947 112.41 87.99 130.84
Positions (direct):
Li (0.0000, 0.0000, 0.0000)
Li (0.0000, 0.5000, 0.5000)
Li (0.5449, 0.1588, 0.3864)
Li (0.5449, 0.6585, 0.8861)
Li (0.7724, 0.1585, 0.6136)
Li (0.7724, 0.6588, 0.1139)
Pr (0.2010, 0.2368, 0.4642)
Pr (0.2017, 0.7373, 0.9645)
Pr (0.3434, 0.0934, 0.7500)
Pr (0.3434, 0.5934, 0.2500)
Pr (0.7728, 0.2373, 0.0355)
Pr (0.7725, 0.7368, 0.5358)
Zn (0.1064, 0.2728, 0.8335)
Zn (0.1064, 0.7729, 0.3336)
Zn (0.4392, 0.2729, 0.1665)
Zn (0.4392, 0.7728, 0.6664)
Zn (0.7719, 0.0222, 0.2497)
Zn (0.7725, 0.5222, 0.7503)

Top 8 peaks for 10° ≤ 2θ ≤ 90°, most intense first:
34.53°, intensity 1000
31.26°, intensity 679
18.56°, intensity 408
28.86°, intensity 364
24.92°, intensity 278
37.63°, intensity 259
57.02°, intensity 257
14.31°, intensity 219

Mn22FeC6: simulated PXRD pattern (a wavelength of 1.5418 Å), based on DFT lattice parameters and positions (GGA-PBE).
Kinematic intensities with the Lorentz-polarization factor, no thermal factor.

Lattice parameters (Å, degrees): 7.3520 7.3520 7.3520 60.00 60.00 60.00
Positions (direct):
Mn (0.0000, 0.0000, 0.3364)
Mn (0.0000, 0.0000, 0.6636)
Mn (0.0000, 0.3364, 0.0000)
Mn (0.0000, 0.3364, 0.6636)
Mn (0.0000, 0.6636, 0.0000)
Mn (0.0000, 0.6636, 0.3364)
Mn (0.1467, 0.6178, 0.6178)
Mn (0.2500, 0.2500, 0.2500)
Mn (0.3364, 0.0000, 0.0000)
Mn (0.3364, 0.0000, 0.6636)
Mn (0.3364, 0.6636, 0.0000)
Mn (0.3822, 0.3822, 0.3822)
Mn (0.3822, 0.3822, 0.8533)
Mn (0.3822, 0.8533, 0.3822)
Mn (0.6178, 0.1467, 0.6178)
Mn (0.6178, 0.6178, 0.1467)
Mn (0.6178, 0.6178, 0.6178)
Mn (0.6636, 0.0000, 0.0000)
Mn (0.6636, 0.0000, 0.3364)
Mn (0.6636, 0.3364, 0.0000)
Mn (0.7500, 0.7500, 0.7500)
Mn (0.8533, 0.3822, 0.3822)
Fe (0.0000, 0.0000, 0.0000)
C (0.2757, 0.2757, 0.7243)
C (0.2757, 0.7243, 0.2757)
C (0.2757, 0.7243, 0.7243)
C (0.7243, 0.2757, 0.2757)
C (0.7243, 0.2757, 0.7243)
C (0.7243, 0.7243, 0.2757)

Top 8 peaks for 10° ≤ 2θ ≤ 90°, most intense first:
45.32°, intensity 1000
42.60°, intensity 284
52.04°, intensity 255
38.73°, intensity 225
49.60°, intensity 216
77.97°, intensity 203
52.83°, intensity 134
79.90°, intensity 123

Ag2Hg5: simulated PXRD pattern (a wavelength of 1.5418 Å), based on DFT lattice parameters and positions (GGA-PBE).
Kinematic intensities with the Lorentz-polarization factor, no thermal factor.

Lattice parameters (Å, degrees): 10.1771 10.1771 3.0840 90.00 90.00 90.00
Positions (direct):
Ag (0.1833, 0.3167, 0.0000)
Ag (0.3167, 0.8167, 0.0000)
Ag (0.6833, 0.1833, 0.0000)
Ag (0.8167, 0.6833, 0.0000)
Hg (0.0000, 0.5000, 0.5000)
Hg (0.0598, 0.7976, 0.5000)
Hg (0.2024, 0.0598, 0.5000)
Hg (0.2976, 0.5598, 0.5000)
Hg (0.4402, 0.2976, 0.5000)
Hg (0.5000, 0.0000, 0.5000)
Hg (0.5598, 0.7024, 0.5000)
Hg (0.7024, 0.4402, 0.5000)
Hg (0.7976, 0.9402, 0.5000)
Hg (0.9402, 0.2024, 0.5000)

Top 8 peaks for 10° ≤ 2θ ≤ 90°, most intense first:
36.40°, intensity 1000
40.51°, intensity 796
28.95°, intensity 518
27.72°, intensity 479
35.15°, intensity 461
43.46°, intensity 426
37.49°, intensity 399
31.70°, intensity 286

LiH5Pd5: simulated PXRD pattern (a wavelength of 1.5418 Å), based on DFT lattice parameters and positions (GGA-PBE).
Kinematic intensities with the Lorentz-polarization factor, no thermal factor.

Lattice parameters (Å, degrees): 4.9949 4.9949 5.7862 106.30 106.30 47.54
Positions (direct):
Li (0.0000, 0.0000, 0.0000)
H (0.1673, 0.1673, 0.3753)
H (0.1872, 0.1872, 0.8386)
H (0.5000, 0.5000, 0.0000)
H (0.8128, 0.8128, 0.1614)
H (0.8327, 0.8327, 0.6247)
Pd (0.0000, 0.0000, 0.5000)
Pd (0.3341, 0.3341, 0.6679)
Pd (0.3408, 0.3408, 0.1623)
Pd (0.6592, 0.6592, 0.8377)
Pd (0.6659, 0.6659, 0.3321)

Top 8 peaks for 10° ≤ 2θ ≤ 90°, most intense first:
38.28°, intensity 1000
43.98°, intensity 181
44.46°, intensity 167
45.03°, intensity 165
64.77°, intensity 108
65.14°, intensity 105
24.36°, intensity 71
16.09°, intensity 69

Rb2HfRe3O12: simulated PXRD pattern (a wavelength of 1.5418 Å), based on DFT lattice parameters and positions (GGA-PBE).
Kinematic intensities with the Lorentz-polarization factor, no thermal factor.

Lattice parameters (Å, degrees): 7.4254 7.4254 7.4254 59.35 59.35 59.35
Positions (direct):
Rb (0.1156, 0.1156, 0.1156)
Rb (0.8844, 0.8844, 0.8844)
Hf (0.5000, 0.5000, 0.5000)
Re (0.0000, 0.5000, 0.5000)
Re (0.5000, 0.0000, 0.5000)
Re (0.5000, 0.5000, 0.0000)
O (0.1704, 0.5650, 0.5650)
O (0.1911, 0.1911, 0.5688)
O (0.1911, 0.5688, 0.1911)
O (0.4312, 0.8089, 0.8089)
O (0.4350, 0.4350, 0.8296)
O (0.4350, 0.8296, 0.4350)
O (0.5650, 0.1704, 0.5650)
O (0.5650, 0.5650, 0.1704)
O (0.5688, 0.1911, 0.1911)
O (0.8089, 0.4312, 0.8089)
O (0.8089, 0.8089, 0.4312)
O (0.8296, 0.4350, 0.4350)

Top 8 peaks for 10° ≤ 2θ ≤ 90°, most intense first:
29.72°, intensity 1000
28.35°, intensity 884
14.73°, intensity 769
28.46°, intensity 548
28.15°, intensity 539
49.59°, intensity 415
14.54°, intensity 388
49.08°, intensity 379

Cd2In4Hg: simulated PXRD pattern (a wavelength of 1.5418 Å), based on DFT lattice parameters and positions (GGA-PBE).
Kinematic intensities with the Lorentz-polarization factor, no thermal factor.

Lattice parameters (Å, degrees): 6.3727 6.3727 6.3727 102.00 102.00 125.73
Positions (direct):
Cd (0.2500, 0.7500, 0.5000)
Cd (0.7500, 0.2500, 0.5000)
In (0.1998, 0.1998, 0.3996)
In (0.1998, 0.8002, 0.0000)
In (0.8002, 0.1998, 0.0000)
In (0.8002, 0.8002, 0.6004)
Hg (0.5000, 0.5000, 0.0000)

Top 8 peaks for 10° ≤ 2θ ≤ 90°, most intense first:
31.55°, intensity 1000
29.26°, intensity 903
37.01°, intensity 809
34.68°, intensity 649
38.24°, intensity 360
58.22°, intensity 341
64.60°, intensity 308
67.74°, intensity 262

Copy entry 3 word for word.
Ag2Hg5: simulated PXRD pattern (a wavelength of 1.5418 Å), based on DFT lattice parameters and positions (GGA-PBE).
Kinematic intensities with the Lorentz-polarization factor, no thermal factor.

Lattice parameters (Å, degrees): 10.1771 10.1771 3.0840 90.00 90.00 90.00
Positions (direct):
Ag (0.1833, 0.3167, 0.0000)
Ag (0.3167, 0.8167, 0.0000)
Ag (0.6833, 0.1833, 0.0000)
Ag (0.8167, 0.6833, 0.0000)
Hg (0.0000, 0.5000, 0.5000)
Hg (0.0598, 0.7976, 0.5000)
Hg (0.2024, 0.0598, 0.5000)
Hg (0.2976, 0.5598, 0.5000)
Hg (0.4402, 0.2976, 0.5000)
Hg (0.5000, 0.0000, 0.5000)
Hg (0.5598, 0.7024, 0.5000)
Hg (0.7024, 0.4402, 0.5000)
Hg (0.7976, 0.9402, 0.5000)
Hg (0.9402, 0.2024, 0.5000)

Top 8 peaks for 10° ≤ 2θ ≤ 90°, most intense first:
36.40°, intensity 1000
40.51°, intensity 796
28.95°, intensity 518
27.72°, intensity 479
35.15°, intensity 461
43.46°, intensity 426
37.49°, intensity 399
31.70°, intensity 286

Question: Which formula does entry 1 have?
Answer: LiPrZn